No. 1
Diffraction record for YAl8Cu4. The powder diffractogram is theoretical, not measured: it uses a DFT-relaxed cell (PBE, the Materials Project) and copper Kα.
Neutral-atom scattering factors, no anomalous dispersion.

Crystal structure
```
data_YAl8Cu4
_chemical_formula_sum 'Y2 Al16 Cu8'
_cell_length_a 8.8034
_cell_length_b 8.8034
_cell_length_c 5.1390
_cell_angle_alpha 90.00
_cell_angle_beta 90.00
_cell_angle_gamma 90.00
_symmetry_space_group_name_H-M 'I 4/m m m'
_symmetry_Int_Tables_number 139
_symmetry_space_group_name_Hall '-I 4 2'
loop_
_atom_site_label
_atom_site_fract_x
_atom_site_fract_y
_atom_site_fract_z
_atom_site_occupancy
Y1 0.0000 0.0000 0.0000 1
Al1 0.0000 0.2191 0.5000 1
Al2 0.0000 0.3481 0.0000 1
Cu1 0.2500 0.2500 0.2500 1
```

Peak list (6 most intense, 5 to 70 degrees two-theta, sorted by position)
- 20.17 deg, rel. 34, hkl 2 0 0
- 28.68 deg, rel. 37, hkl 2 2 0
- 40.66 deg, rel. 87, hkl 2 0 2
- 40.97 deg, rel. 100, hkl 4 0 0
- 45.79 deg, rel. 38, hkl 2 2 2
- 59.12 deg, rel. 28, hkl 4 2 2



No. 2
Diffraction record for ZnP4. The powder diffractogram is theoretical, not measured: it uses a DFT-relaxed cell (PBE, the Materials Project) and copper Kα.
Neutral-atom scattering factors, no anomalous dispersion.

Crystal structure
```
data_ZnP4
_chemical_formula_sum 'Zn4 P16'
_cell_length_a 5.0459
_cell_length_b 5.0459
_cell_length_c 14.6337
_cell_angle_alpha 90.00
_cell_angle_beta 90.00
_cell_angle_gamma 90.00
_symmetry_space_group_name_H-M 'P 41 21 2'
_symmetry_Int_Tables_number 92
_symmetry_space_group_name_Hall 'P 4abw 2nw'
loop_
_atom_site_label
_atom_site_fract_x
_atom_site_fract_y
_atom_site_fract_z
_atom_site_occupancy
Zn1 0.1980 0.1980 0.0000 1
P1 0.0122 0.9015 0.1252 1
P2 0.0761 0.6802 0.7990 1
```

Peak list (6 most intense, 5 to 70 degrees two-theta, sorted by position)
- 27.82 deg, rel. 100, hkl 1 1 2
- 31.05 deg, rel. 71, hkl 1 1 3
- 40.45 deg, rel. 35, hkl 2 1 1
- 43.58 deg, rel. 37, hkl 2 0 4
- 47.58 deg, rel. 26, hkl 2 0 5
- 51.61 deg, rel. 24, hkl 2 2 1



No. 3
Diffraction record for Be2Ru. The powder diffractogram is theoretical, not measured: it uses a DFT-relaxed cell (PBE, the Materials Project) and copper Kα.
Neutral-atom scattering factors, no anomalous dispersion.

Crystal structure
```
data_Be2Ru
_chemical_formula_sum 'Be8 Ru4'
_cell_length_a 4.3627
_cell_length_b 4.3627
_cell_length_c 7.0577
_cell_angle_alpha 90.00
_cell_angle_beta 90.00
_cell_angle_gamma 120.00
_symmetry_space_group_name_H-M 'P 63/m m c'
_symmetry_Int_Tables_number 194
_symmetry_space_group_name_Hall '-P 6c 2c'
loop_
_atom_site_label
_atom_site_fract_x
_atom_site_fract_y
_atom_site_fract_z
_atom_site_occupancy
Be1 0.0000 0.0000 0.0000 1
Be2 0.1691 0.3382 0.2500 1
Ru1 0.3333 0.6667 0.5599 1
```

Peak list (6 most intense, 5 to 70 degrees two-theta, sorted by position)
- 23.55 deg, rel. 93, hkl 1 0 0
- 25.24 deg, rel. 56, hkl 0 0 2
- 26.76 deg, rel. 55, hkl 1 0 1
- 41.39 deg, rel. 100, hkl 1 1 0
- 45.42 deg, rel. 100, hkl 1 0 3
- 49.10 deg, rel. 75, hkl 1 1 2



No. 4
Diffraction record for NaSrPrSeO6. The powder diffractogram is theoretical, not measured: it uses a DFT-relaxed cell (PBE, the Materials Project) and copper Kα.
Neutral-atom scattering factors, no anomalous dispersion.

Crystal structure
```
data_NaSrPrSeO6
_chemical_formula_sum 'Na4 Sr4 Pr4 Se4 O24'
_cell_length_a 8.2562
_cell_length_b 8.2562
_cell_length_c 8.2562
_cell_angle_alpha 90.00
_cell_angle_beta 90.00
_cell_angle_gamma 90.00
_symmetry_space_group_name_H-M 'F -4 3 m'
_symmetry_Int_Tables_number 216
_symmetry_space_group_name_Hall 'F -4 2 3'
loop_
_atom_site_label
_atom_site_fract_x
_atom_site_fract_y
_atom_site_fract_z
_atom_site_occupancy
Na1 0.0000 0.0000 0.0000 1
Sr1 0.0000 0.0000 0.5000 1
Pr1 0.2500 0.2500 0.7500 1
Se1 0.2500 0.2500 0.2500 1
O1 0.0290 0.2500 0.2500 1
```

Peak list (6 most intense, 5 to 70 degrees two-theta, sorted by position)
- 18.61 deg, rel. 14, hkl 1 1 1
- 21.53 deg, rel. 28, hkl 2 0 0
- 30.63 deg, rel. 100, hkl 2 2 0
- 43.86 deg, rel. 35, hkl 4 0 0
- 54.44 deg, rel. 38, hkl 4 2 2
- 63.77 deg, rel. 20, hkl 4 4 0



No. 5
Diffraction record for Cs2NaTlBr6. The powder diffractogram is theoretical, not measured: it uses a DFT-relaxed cell (PBE, the Materials Project) and copper Kα.
Neutral-atom scattering factors, no anomalous dispersion.

Crystal structure
```
data_Cs2NaTlBr6
_chemical_formula_sum 'Cs8 Na4 Tl4 Br24'
_cell_length_a 11.4909
_cell_length_b 11.4909
_cell_length_c 11.4909
_cell_angle_alpha 90.00
_cell_angle_beta 90.00
_cell_angle_gamma 90.00
_symmetry_space_group_name_H-M 'F m -3 m'
_symmetry_Int_Tables_number 225
_symmetry_space_group_name_Hall '-F 4 2 3'
loop_
_atom_site_label
_atom_site_fract_x
_atom_site_fract_y
_atom_site_fract_z
_atom_site_occupancy
Cs1 0.2500 0.2500 0.2500 1
Na1 0.0000 0.0000 0.0000 1
Tl1 0.0000 0.0000 0.5000 1
Br1 0.0000 0.0000 0.2570 1
```

Peak list (6 most intense, 5 to 70 degrees two-theta, sorted by position)
- 13.35 deg, rel. 39, hkl 1 1 1
- 21.88 deg, rel. 52, hkl 2 2 0
- 26.88 deg, rel. 58, hkl 2 2 2
- 31.13 deg, rel. 100, hkl 4 0 0
- 44.61 deg, rel. 73, hkl 4 4 0
- 55.40 deg, rel. 25, hkl 4 4 4



No. 6
Diffraction record for UMnAl. The powder diffractogram is theoretical, not measured: it uses a DFT-relaxed cell (PBE, the Materials Project) and copper Kα.
Neutral-atom scattering factors, no anomalous dispersion.

Crystal structure
```
data_UMnAl
_chemical_formula_sum 'U8 Mn8 Al8'
_cell_length_a 8.1719
_cell_length_b 5.2809
_cell_length_c 9.2712
_cell_angle_alpha 90.00
_cell_angle_beta 90.00
_cell_angle_gamma 90.00
_symmetry_space_group_name_H-M 'A m m 2'
_symmetry_Int_Tables_number 38
_symmetry_space_group_name_Hall 'A 2 -2'
loop_
_atom_site_label
_atom_site_fract_x
_atom_site_fract_y
_atom_site_fract_z
_atom_site_occupancy
U1 0.1627 0.0000 0.0000 1
U2 0.3054 0.0000 0.3414 1
Mn1 0.0000 0.0000 0.5029 1
Mn2 0.0000 0.2403 0.2585 1
Mn3 0.5000 0.0000 0.8447 1
Al1 0.2412 0.0000 0.6753 1
Al2 0.5000 0.2446 0.0876 1
```

Peak list (6 most intense, 5 to 70 degrees two-theta, sorted by position)
- 19.34 deg, rel. 41, hkl 0 1 1
- 33.60 deg, rel. 72, hkl 0 1 3
- 33.95 deg, rel. 40, hkl 0 2 0
- 38.33 deg, rel. 41, hkl 3 0 2
- 38.43 deg, rel. 100, hkl 3 1 1
- 40.40 deg, rel. 85, hkl 2 1 3